Starting from DFT lattice parameters and positions (GGA-PBE), the powder XRD pattern of NbBr5 was calculated for Cu Ka.

Structure:
Lattice parameters (Å, degrees): 14.161 19.604 6.731 90.00 90.00 90.00
Space group Pnma (No. 62)
Unique sites:
1 Nb 0.125 0.141 0.007 (multiplicity 8)
2 Br 0.019 0.652 0.209 (multiplicity 8)
3 Br 0.046 0.064 0.240 (multiplicity 8)
4 Br 0.053 0.250 0.214 (multiplicity 4)
5 Br 0.195 0.250 0.797 (multiplicity 4)
6 Br 0.204 0.064 0.773 (multiplicity 8)
7 Br 0.232 0.653 0.722 (multiplicity 8)

Peak list (10 most intense, 2θ = 10–90°, most intense first)
hkl  d [Å]  two_theta  Rel. int.
2 5 1  3.056  29.22  100
2 1 0  6.659  13.30  49
4 0 1  3.133  28.49  41
1 1 1  5.806  15.26  28
1 0 1  6.079  14.57  27
2 5 2  2.402  37.44  27
6 5 0  2.022  44.83  23
0 0 2  3.365  26.49  23
4 0 2  2.439  36.85  22
2 5 3  1.878  48.48  17


Starting from DFT lattice parameters and positions (GGA-PBE), the powder XRD pattern of Mg14CrBi was calculated for Cu Ka.

Structure:
Lattice parameters (Å, degrees): 10.390 6.365 11.046 90.00 90.00 90.00
Space group Amm2 (No. 38)
Unique sites:
1 Mg 0.000 0.000 0.000 (multiplicity 2)
2 Mg 0.000 0.000 0.500 (multiplicity 2)
3 Mg 0.000 0.250 0.250 (multiplicity 4)
4 Mg 0.246 0.000 0.169 (multiplicity 4)
5 Mg 0.249 0.244 0.416 (multiplicity 8)
6 Mg 0.252 0.000 0.665 (multiplicity 4)
7 Mg 0.500 0.249 0.749 (multiplicity 4)
8 Cr 0.500 0.000 0.500 (multiplicity 2)
9 Bi 0.500 0.000 0.001 (multiplicity 2)

Peak list (10 most intense, 2θ = 10–90°, most intense first)
hkl  d [Å]  two_theta  Rel. int.
2 0 4  2.437  36.89  100
1 0 2  4.874  18.20  55
0 0 2  5.519  16.06  35
2 0 2  3.783  23.52  32
0 2 2  2.759  32.46  31
4 0 0  2.598  34.53  26
4 2 2  1.891  48.11  20
4 4 0  1.358  69.19  19
1 2 2  2.666  33.61  19
1 2 0  3.045  29.33  18


Starting from DFT lattice parameters and positions (GGA-PBE), the powder XRD pattern of K2AgSbCl6 was calculated for Cu Ka.

Structure:
Lattice parameters (Å, degrees): 10.707 10.707 10.707 90.00 90.00 90.00
Space group Fm-3m (No. 225)
Unique sites:
1 K 0.250 0.250 0.250 (multiplicity 8)
2 Ag 0.000 0.000 0.000 (multiplicity 4)
3 Sb 0.000 0.000 0.500 (multiplicity 4)
4 Cl 0.000 0.000 0.252 (multiplicity 24)

Peak list (10 most intense, 2θ = 10–90°, most intense first)
hkl  d [Å]  two_theta  Rel. int.
2 2 0  3.785  23.50  100
2 0 0  5.353  16.56  99
4 0 0  2.677  33.48  96
4 4 0  1.893  48.07  63
4 2 0  2.394  37.57  50
4 2 2  2.186  41.31  45
8 4 0  1.197  80.18  26
6 0 0  1.784  51.19  25
6 4 2  1.431  65.21  22
4 4 4  1.545  59.85  21


Starting from DFT lattice parameters and positions (GGA-PBE), the powder XRD pattern of PrAg2 was calculated for Cu Ka.

Structure:
Lattice parameters (Å, degrees): 4.844 7.336 8.176 90.00 90.00 90.00
Space group Imma (No. 74)
Unique sites:
1 Pr 0.000 0.250 0.039 (multiplicity 4)
2 Ag 0.000 0.046 0.665 (multiplicity 8)

Peak list (10 most intense, 2θ = 10–90°, most intense first)
hkl  d [Å]  two_theta  Rel. int.
1 2 1  2.753  32.52  100
1 0 3  2.375  37.88  65
2 0 0  2.422  37.12  43
0 2 2  2.730  32.80  42
1 1 2  2.874  31.11  31
2 2 2  1.812  50.36  24
0 3 1  2.343  38.42  19
1 3 4  1.492  62.22  19
3 2 1  1.454  64.02  16
2 3 1  1.684  54.49  13


Starting from DFT lattice parameters and positions (GGA-PBE), the powder XRD pattern of ScIn was calculated for Cu Ka.

Structure:
Lattice parameters (Å, degrees): 3.241 3.241 4.323 90.00 90.00 90.00
Space group P4/mmm (No. 123)
Unique sites:
1 Sc 0.000 0.000 0.000 (multiplicity 1)
2 In 0.500 0.500 0.500 (multiplicity 1)

Peak list (10 most intense, 2θ = 10–90°, most intense first)
hkl  d [Å]  two_theta  Rel. int.
1 0 1  2.593  34.59  100
1 1 0  2.292  39.31  35
2 1 1  1.374  68.24  25
1 1 2  1.572  58.72  20
1 0 0  3.241  27.52  18
0 0 1  4.323  20.55  18
0 0 2  2.161  41.80  14
2 0 0  1.621  56.81  11
1 0 3  1.317  71.68  11
2 0 2  1.297  72.96  10


Starting from DFT lattice parameters and positions (GGA-PBE), the powder XRD pattern of Ba2UPbO6 was calculated for Cu Ka.

Structure:
Lattice parameters (Å, degrees): 9.045 9.045 9.045 90.00 90.00 90.00
Space group Fm-3m (No. 225)
Unique sites:
1 Ba 0.250 0.250 0.250 (multiplicity 8)
2 U 0.000 0.000 0.000 (multiplicity 4)
3 Pb 0.000 0.000 0.500 (multiplicity 4)
4 O 0.000 0.000 0.231 (multiplicity 24)

Peak list (10 most intense, 2θ = 10–90°, most intense first)
hkl  d [Å]  two_theta  Rel. int.
2 2 0  3.198  27.90  100
4 2 2  1.846  49.36  43
4 0 0  2.261  39.87  28
6 4 2  1.209  79.26  23
6 2 0  1.430  65.24  20
4 4 0  1.599  57.65  18
2 0 0  4.522  19.63  11
4 4 4  1.306  72.39  6
4 2 0  2.022  44.81  5
8 0 0  1.131  85.98  3


Starting from DFT lattice parameters and positions (GGA-PBE), the powder XRD pattern of CuC4O8 was calculated for Cu Ka.

Structure:
Lattice parameters (Å, degrees): 8.281 8.434 8.473 90.00 113.78 90.00
Space group P2_1/c (No. 14)
Unique sites:
1 Cu 0.000 0.000 0.000 (multiplicity 2)
2 C 0.040 0.201 0.308 (multiplicity 4)
3 C 0.473 0.589 0.681 (multiplicity 4)
4 O 0.049 0.231 0.938 (multiplicity 4)
5 O 0.058 0.073 0.250 (multiplicity 4)
6 O 0.322 0.578 0.591 (multiplicity 4)
7 O 0.376 0.099 0.730 (multiplicity 4)

Peak list (10 most intense, 2θ = 10–90°, most intense first)
hkl  d [Å]  two_theta  Rel. int.
0 1 1  5.708  15.52  100
1 0 0  7.578  11.68  81
1 2 -1  3.614  24.63  40
1 0 -2  4.211  21.10  39
2 0 0  3.789  23.48  39
2 1 -1  3.704  24.03  33
1 1 -1  5.393  16.44  33
1 1 -3  2.673  33.53  20
3 1 -1  2.613  34.32  20
3 0 0  2.526  35.54  15


Starting from DFT lattice parameters and positions (GGA-PBE), the powder XRD pattern of GdMoC2 was calculated for Cu Ka.

Structure:
Lattice parameters (Å, degrees): 5.727 3.443 10.820 90.00 90.00 90.00
Space group Pnma (No. 62)
Unique sites:
1 Gd 0.085 0.250 0.138 (multiplicity 4)
2 Mo 0.094 0.750 0.391 (multiplicity 4)
3 C 0.159 0.250 0.752 (multiplicity 4)
4 C 0.219 0.250 0.481 (multiplicity 4)

Peak list (10 most intense, 2θ = 10–90°, most intense first)
hkl  d [Å]  two_theta  Rel. int.
1 1 2  2.591  34.62  100
2 0 1  2.768  32.34  31
0 0 4  2.705  33.12  29
1 1 1  2.847  31.42  20
2 0 3  2.243  40.21  19
3 1 1  1.650  55.70  19
1 1 3  2.284  39.45  17
1 1 6  1.539  60.13  15
3 1 3  1.515  61.17  13
0 2 0  1.722  53.20  12


Starting from DFT lattice parameters and positions (GGA-PBE), the powder XRD pattern of NdMn2Fe10 was calculated for Cu Ka.

Structure:
Lattice parameters (Å, degrees): 4.667 8.431 8.540 90.00 90.00 90.00
Space group Immm (No. 71)
Unique sites:
1 Nd 0.000 0.000 0.000 (multiplicity 2)
2 Mn 0.000 0.000 0.374 (multiplicity 4)
3 Fe 0.000 0.271 0.500 (multiplicity 4)
4 Fe 0.000 0.360 0.000 (multiplicity 4)
5 Fe 0.000 0.500 0.265 (multiplicity 4)
6 Fe 0.250 0.250 0.250 (multiplicity 8)

Peak list (10 most intense, 2θ = 10–90°, most intense first)
hkl  d [Å]  two_theta  Rel. int.
0 4 0  2.106  42.94  100
1 3 2  2.097  43.13  77
2 0 2  2.048  44.23  53
2 2 0  2.042  44.37  48
0 0 4  2.135  42.34  46
1 1 2  2.951  30.29  35
2 2 2  1.842  49.49  34
1 3 0  2.408  37.35  29
1 2 1  2.937  30.43  26
1 0 3  2.430  36.99  24


Starting from DFT lattice parameters and positions (GGA-PBE), the powder XRD pattern of Ba2Ti6N2O11 was calculated for Cu Ka.

Structure:
Lattice parameters (Å, degrees): 15.359 3.956 9.202 90.00 98.64 90.00
Space group C2/m (No. 12)
Unique sites:
1 Ba 0.048 0.000 0.266 (multiplicity 4)
2 Ti 0.120 0.500 0.593 (multiplicity 4)
3 Ti 0.175 0.500 0.945 (multiplicity 4)
4 Ti 0.242 0.500 0.263 (multiplicity 4)
5 N 0.204 0.000 0.921 (multiplicity 4)
6 O 0.000 0.500 0.500 (multiplicity 2)
7 O 0.076 0.500 0.787 (multiplicity 4)
8 O 0.128 0.500 0.118 (multiplicity 4)
9 O 0.138 0.000 0.609 (multiplicity 4)
10 O 0.162 0.500 0.409 (multiplicity 4)
11 O 0.243 0.500 0.728 (multiplicity 4)

Peak list (10 most intense, 2θ = 10–90°, most intense first)
hkl  d [Å]  two_theta  Rel. int.
1 1 2  2.872  31.14  100
3 1 -1  3.036  29.42  91
3 1 0  3.117  28.64  80
6 0 2  2.081  43.49  62
0 0 2  4.549  19.52  59
1 1 -2  2.985  29.93  58
0 2 0  1.978  45.88  55
4 0 -4  2.095  43.19  42
4 0 -1  3.707  24.01  41
2 0 -3  2.974  30.04  33


Starting from DFT lattice parameters and positions (GGA-PBE), the powder XRD pattern of TiCr2S4 was calculated for Cu Ka.

Structure:
Lattice parameters (Å, degrees): 4.764 4.932 4.973 95.93 93.35 93.89
Space group P1 (No. 1)
Unique sites:
1 Ti 0.000 0.000 0.000 (multiplicity 1)
2 Cr 0.561 0.181 0.651 (multiplicity 1)
3 Cr 0.577 0.637 0.201 (multiplicity 1)
4 S 0.065 0.146 0.570 (multiplicity 1)
5 S 0.076 0.567 0.143 (multiplicity 1)
6 S 0.536 0.130 0.143 (multiplicity 1)
7 S 0.625 0.682 0.694 (multiplicity 1)

Peak list (10 most intense, 2θ = 10–90°, most intense first)
hkl  d [Å]  two_theta  Rel. int.
2 0 0  2.371  37.94  100
0 2 0  2.446  36.74  71
2 -2 0  1.769  51.66  65
0 0 2  2.468  36.41  64
0 1 1  3.302  27.01  55
1 0 0  4.743  18.71  42
0 2 -2  1.839  49.57  36
1 2 0  2.111  42.83  34
1 0 -2  2.251  40.06  33
1 0 2  2.132  42.39  31


Starting from DFT lattice parameters and positions (GGA-PBE), the powder XRD pattern of DyPaO3 was calculated for Cu Ka.

Structure:
Lattice parameters (Å, degrees): 4.308 4.308 4.308 90.00 90.00 90.00
Space group Pm-3m (No. 221)
Unique sites:
1 Dy 0.000 0.000 0.000 (multiplicity 1)
2 Pa 0.500 0.500 0.500 (multiplicity 1)
3 O 0.000 0.000 0.500 (multiplicity 3)

Peak list (10 most intense, 2θ = 10–90°, most intense first)
hkl  d [Å]  two_theta  Rel. int.
1 1 0  3.046  29.32  100
2 1 1  1.759  52.00  43
2 0 0  2.154  41.94  27
3 2 1  1.151  84.07  22
3 1 0  1.362  68.93  19
2 2 0  1.523  60.82  17
2 2 2  1.244  76.62  6
1 1 1  2.487  36.11  4
1 0 0  4.308  20.62  2
3 1 1  1.299  72.81  1